This entry pairs a crystal structure of Li3CaZn8 with its calculated PXRD pattern. Radiation: CuKα. Structure: the PBE geometry in Alexandria.
No peak broadening, texture or thermal motion is included.

Structural model:
Unit cell a=5.2645 b=5.2645 c=8.5470 alpha=90.00 beta=90.00 gamma=120.00
Atoms (fractional coordinates):
Li 0.0000 0.0000 0.0000
Li 0.0000 0.0000 0.3623
Li 0.3333 0.6667 0.8863
Ca 0.3333 0.6667 0.4995
Zn 0.0059 0.5030 0.1818
Zn 0.3259 0.1629 0.6967
Zn 0.4970 0.5030 0.1818
Zn 0.4970 0.9941 0.1818
Zn 0.6667 0.3333 0.4350
Zn 0.6667 0.3333 0.9391
Zn 0.8371 0.1629 0.6967
Zn 0.8371 0.6741 0.6967

Largest 10 diffraction maxima, low angle first, 5 to 70 degrees two-theta:
- 2θ = 19.47°, intensity 70.4
- 2θ = 20.79°, intensity 37.7
- 2θ = 22.10°, intensity 45.5
- 2θ = 37.21°, intensity 26.6
- 2θ = 40.24°, intensity 73.7
- 2θ = 40.98°, intensity 100.0
- 2θ = 42.30°, intensity 32.0
- 2θ = 45.08°, intensity 56.3
- 2θ = 51.33°, intensity 35.2
- 2θ = 68.62°, intensity 22.0

---

This entry pairs a crystal structure of Li4Ca2Zn with its calculated PXRD pattern. Radiation: CuKα. Structure: the PBE geometry in Alexandria.
No peak broadening, texture or thermal motion is included.

Structural model:
Unit cell a=4.8318 b=4.8318 c=16.1814 alpha=90.00 beta=90.00 gamma=90.00
Atoms (fractional coordinates):
Li 0.0000 0.0000 0.1581
Li 0.0000 0.0000 0.8419
Li 0.0000 0.5000 0.0000
Li 0.0000 0.5000 0.5000
Li 0.5000 0.0000 0.0000
Li 0.5000 0.0000 0.5000
Li 0.5000 0.5000 0.3419
Li 0.5000 0.5000 0.6581
Ca 0.0000 0.0000 0.3621
Ca 0.0000 0.0000 0.6379
Ca 0.5000 0.5000 0.1379
Ca 0.5000 0.5000 0.8621
Zn 0.0000 0.0000 0.0000
Zn 0.5000 0.5000 0.5000

Largest 10 diffraction maxima, low angle first, 5 to 70 degrees two-theta:
- 2θ = 10.94°, intensity 36.2
- 2θ = 24.74°, intensity 100.0
- 2θ = 26.08°, intensity 59.6
- 2θ = 33.22°, intensity 11.0
- 2θ = 33.32°, intensity 28.1
- 2θ = 37.22°, intensity 28.8
- 2θ = 42.71°, intensity 15.1
- 2θ = 45.20°, intensity 36.8
- 2θ = 50.77°, intensity 28.6
- 2θ = 52.58°, intensity 10.3

---

This entry pairs a crystal structure of LiCa4Zn3 with its calculated PXRD pattern. Radiation: CuKα. Structure: the PBE geometry in Alexandria.
No peak broadening, texture or thermal motion is included.

Structural model:
Unit cell a=3.7402 b=5.2701 c=10.5462 alpha=90.00 beta=90.00 gamma=90.00
Atoms (fractional coordinates):
Li 0.0000 0.0000 0.0000
Ca 0.5000 0.0000 0.2617
Ca 0.5000 0.0000 0.7383
Ca 0.5000 0.5000 0.0000
Ca 0.5000 0.5000 0.5000
Zn 0.0000 0.0000 0.5000
Zn 0.0000 0.5000 0.2461
Zn 0.0000 0.5000 0.7539

Largest 10 diffraction maxima, low angle first, 5 to 70 degrees two-theta:
- 2θ = 8.38°, intensity 13.2
- 2θ = 16.82°, intensity 5.4
- 2θ = 18.82°, intensity 5.6
- 2θ = 29.28°, intensity 2.9
- 2θ = 33.97°, intensity 100.0
- 2θ = 35.06°, intensity 2.8
- 2θ = 48.69°, intensity 5.7
- 2θ = 48.87°, intensity 11.1
- 2θ = 60.72°, intensity 11.1
- 2θ = 60.84°, intensity 21.7

---

This entry pairs a crystal structure of Li8CaZn4 with its calculated PXRD pattern. Radiation: CuKα. Structure: the PBE geometry in Alexandria.
No peak broadening, texture or thermal motion is included.

Structural model:
Unit cell a=7.1922 b=7.1922 c=7.1922 alpha=97.75 beta=97.75 gamma=136.90
Atoms (fractional coordinates):
Li 0.0000 0.2248 0.2248
Li 0.0000 0.7752 0.7752
Li 0.1524 0.5000 0.6524
Li 0.2248 0.0000 0.2248
Li 0.5000 0.1524 0.6524
Li 0.5000 0.8476 0.3476
Li 0.7752 0.0000 0.7752
Li 0.8476 0.5000 0.3476
Ca 0.5000 0.5000 0.0000
Zn 0.0000 0.0000 0.5000
Zn 0.0000 0.5000 0.0000
Zn 0.5000 0.0000 0.0000
Zn 0.5000 0.5000 0.5000

Largest 10 diffraction maxima, low angle first, 5 to 70 degrees two-theta:
- 2θ = 18.76°, intensity 100.0
- 2θ = 26.65°, intensity 71.4
- 2θ = 38.05°, intensity 36.7
- 2θ = 39.05°, intensity 63.0
- 2θ = 42.74°, intensity 28.6
- 2θ = 43.66°, intensity 29.8
- 2θ = 51.89°, intensity 12.0
- 2θ = 55.66°, intensity 37.4
- 2θ = 62.05°, intensity 13.4
- 2θ = 69.42°, intensity 11.5

---

This entry pairs a crystal structure of Li2CaZn3 with its calculated PXRD pattern. Radiation: CuKα. Structure: the PBE geometry in Alexandria.
No peak broadening, texture or thermal motion is included.

Structural model:
Unit cell a=6.7871 b=6.7871 c=5.1283 alpha=90.00 beta=90.00 gamma=82.75
Atoms (fractional coordinates):
Li 0.2257 0.2257 0.0000
Li 0.2257 0.2257 0.5000
Li 0.7743 0.7743 0.0000
Li 0.7743 0.7743 0.5000
Ca 0.3037 0.6963 0.7500
Ca 0.6963 0.3037 0.2500
Zn 0.0644 0.9356 0.2500
Zn 0.0646 0.5478 0.2500
Zn 0.4522 0.9354 0.2500
Zn 0.5478 0.0646 0.7500
Zn 0.9354 0.4522 0.7500
Zn 0.9356 0.0644 0.7500

Largest 10 diffraction maxima, low angle first, 5 to 70 degrees two-theta:
- 2θ = 13.15°, intensity 48.5
- 2θ = 19.79°, intensity 52.1
- 2θ = 26.46°, intensity 64.9
- 2θ = 31.80°, intensity 38.2
- 2θ = 33.18°, intensity 78.5
- 2θ = 34.99°, intensity 55.5
- 2θ = 40.52°, intensity 22.2
- 2θ = 44.05°, intensity 100.0
- 2θ = 44.41°, intensity 33.7
- 2θ = 49.18°, intensity 22.7

---

This entry pairs a crystal structure of Li15Ca6Zn8 with its calculated PXRD pattern. Radiation: CuKα. Structure: the PBE geometry in Alexandria.
No peak broadening, texture or thermal motion is included.

Structural model:
Unit cell a=9.5179 b=9.5179 c=9.5179 alpha=60.00 beta=60.00 gamma=60.00
Atoms (fractional coordinates):
Li 0.0000 0.0000 0.0000
Li 0.0000 0.0000 0.5000
Li 0.0000 0.5000 0.0000
Li 0.0000 0.5000 0.5000
Li 0.0291 0.3236 0.3236
Li 0.3236 0.0291 0.3236
Li 0.3236 0.3236 0.0291
Li 0.3236 0.3236 0.3236
Li 0.5000 0.0000 0.0000
Li 0.5000 0.0000 0.5000
Li 0.5000 0.5000 0.0000
Li 0.6764 0.6764 0.6764
Li 0.6764 0.6764 0.9709
Li 0.6764 0.9709 0.6764
Li 0.9709 0.6764 0.6764
Ca 0.2785 0.2785 0.7215
Ca 0.2785 0.7215 0.2785
Ca 0.2785 0.7215 0.7215
Ca 0.7215 0.2785 0.2785
Ca 0.7215 0.2785 0.7215
Ca 0.7215 0.7215 0.2785
Zn 0.1223 0.1223 0.1223
Zn 0.1223 0.1223 0.6330
Zn 0.1223 0.6330 0.1223
Zn 0.3670 0.8777 0.8777
Zn 0.6330 0.1223 0.1223
Zn 0.8777 0.3670 0.8777
Zn 0.8777 0.8777 0.3670
Zn 0.8777 0.8777 0.8777

Largest 10 diffraction maxima, low angle first, 5 to 70 degrees two-theta:
- 2θ = 11.39°, intensity 49.1
- 2θ = 21.90°, intensity 35.9
- 2θ = 22.89°, intensity 17.3
- 2θ = 26.49°, intensity 18.3
- 2θ = 28.91°, intensity 36.9
- 2θ = 34.63°, intensity 39.6
- 2θ = 37.81°, intensity 100.0
- 2θ = 39.61°, intensity 19.2
- 2θ = 54.54°, intensity 13.6
- 2θ = 68.27°, intensity 25.6

---

This entry pairs a crystal structure of CaLu2O4 with its calculated PXRD pattern. Radiation: CuKα. Structure: the PBE geometry in Alexandria.
No peak broadening, texture or thermal motion is included.

Structural model:
Unit cell a=9.7681 b=3.2933 c=11.5850 alpha=90.00 beta=90.00 gamma=90.00
Atoms (fractional coordinates):
Ca 0.2442 0.2500 0.1484
Ca 0.2558 0.7500 0.6484
Ca 0.7442 0.2500 0.3516
Ca 0.7558 0.7500 0.8516
Lu 0.0749 0.2500 0.3864
Lu 0.0786 0.2500 0.8900
Lu 0.4214 0.7500 0.3900
Lu 0.4251 0.7500 0.8864
Lu 0.5749 0.2500 0.1136
Lu 0.5786 0.2500 0.6100
Lu 0.9214 0.7500 0.1100
Lu 0.9251 0.7500 0.6136
O 0.0133 0.7500 0.7856
O 0.0790 0.2500 0.5786
O 0.1284 0.7500 0.0224
O 0.2110 0.7500 0.3214
O 0.2890 0.2500 0.8214
O 0.3716 0.2500 0.5224
O 0.4210 0.7500 0.0786
O 0.4867 0.2500 0.2856
O 0.5133 0.7500 0.7144
O 0.5790 0.2500 0.9214
O 0.6284 0.7500 0.4776
O 0.7110 0.7500 0.1786
O 0.7890 0.2500 0.6786
O 0.8716 0.2500 0.9776
O 0.9210 0.7500 0.4214
O 0.9867 0.2500 0.2144

Largest 10 diffraction maxima, low angle first, 5 to 70 degrees two-theta:
- 2θ = 17.80°, intensity 39.2
- 2θ = 18.16°, intensity 35.6
- 2θ = 30.87°, intensity 44.1
- 2θ = 31.52°, intensity 86.4
- 2θ = 32.59°, intensity 100.0
- 2θ = 32.80°, intensity 46.6
- 2θ = 45.66°, intensity 43.0
- 2θ = 46.28°, intensity 28.0
- 2θ = 56.68°, intensity 25.6
- 2θ = 65.54°, intensity 21.8

---

This entry pairs a crystal structure of Ca7Mg with its calculated PXRD pattern. Radiation: CuKα. Structure: the PBE geometry in Alexandria.
No peak broadening, texture or thermal motion is included.

Structural model:
Unit cell a=7.6379 b=7.6379 c=7.6379 alpha=60.00 beta=60.00 gamma=60.00
Atoms (fractional coordinates):
Ca 0.0000 0.0000 0.0000
Ca 0.0000 0.0000 0.5000
Ca 0.0000 0.5000 0.0000
Ca 0.0000 0.5000 0.5000
Ca 0.5000 0.0000 0.0000
Ca 0.5000 0.0000 0.5000
Ca 0.5000 0.5000 0.0000
Mg 0.5000 0.5000 0.5000

Largest 10 diffraction maxima, low angle first, 5 to 70 degrees two-theta:
- 2θ = 14.20°, intensity 1.6
- 2θ = 16.41°, intensity 0.8
- 2θ = 23.29°, intensity 0.7
- 2θ = 27.39°, intensity 0.9
- 2θ = 28.63°, intensity 100.0
- 2θ = 33.18°, intensity 49.7
- 2θ = 47.62°, intensity 32.9
- 2θ = 56.51°, intensity 37.6
- 2θ = 59.27°, intensity 10.7
- 2θ = 69.64°, intensity 4.7

---

This entry pairs a crystal structure of CaMg5 with its calculated PXRD pattern. Radiation: CuKα. Structure: the PBE geometry in Alexandria.
No peak broadening, texture or thermal motion is included.

Structural model:
Unit cell a=6.0412 b=6.0412 c=6.0412 alpha=60.00 beta=60.00 gamma=60.00
Atoms (fractional coordinates):
Ca 0.0000 0.0000 0.0000
Mg 0.1251 0.6250 0.6250
Mg 0.2500 0.2500 0.2500
Mg 0.6250 0.1251 0.6250
Mg 0.6250 0.6250 0.1251
Mg 0.6250 0.6250 0.6250

Largest 10 diffraction maxima, low angle first, 5 to 70 degrees two-theta:
- 2θ = 17.98°, intensity 2.8
- 2θ = 20.79°, intensity 2.8
- 2θ = 29.57°, intensity 36.4
- 2θ = 34.83°, intensity 100.0
- 2θ = 36.43°, intensity 31.8
- 2θ = 42.32°, intensity 1.8
- 2θ = 52.47°, intensity 13.0
- 2θ = 55.92°, intensity 31.5
- 2θ = 61.39°, intensity 25.6
- 2θ = 69.60°, intensity 5.2

---

This entry pairs a crystal structure of Ca3Mg2 with its calculated PXRD pattern. Radiation: CuKα. Structure: the PBE geometry in Alexandria.
No peak broadening, texture or thermal motion is included.

Structural model:
Unit cell a=9.2423 b=6.8776 c=10.5792 alpha=59.53 beta=39.89 gamma=80.58
Atoms (fractional coordinates):
Ca 0.0000 0.0000 0.0000
Ca 0.2500 0.2500 0.2500
Ca 0.3583 0.6454 0.4331
Ca 0.6454 0.3583 0.5632
Ca 0.6868 0.8169 0.6046
Ca 0.8169 0.6868 0.8917
Mg 0.1037 0.4689 0.9897
Mg 0.2603 0.8123 0.1463
Mg 0.4689 0.1037 0.4377
Mg 0.8123 0.2603 0.7811

Largest 10 diffraction maxima, low angle first, 5 to 70 degrees two-theta:
- 2θ = 29.41°, intensity 31.8
- 2θ = 30.19°, intensity 100.0
- 2θ = 30.31°, intensity 21.2
- 2θ = 31.21°, intensity 20.6
- 2θ = 31.40°, intensity 79.2
- 2θ = 36.88°, intensity 42.7
- 2θ = 50.53°, intensity 21.1
- 2θ = 55.12°, intensity 16.8
- 2θ = 55.15°, intensity 11.2
- 2θ = 60.69°, intensity 11.3

---

This entry pairs a crystal structure of CaMg11 with its calculated PXRD pattern. Radiation: CuKα. Structure: the PBE geometry in Alexandria.
No peak broadening, texture or thermal motion is included.

Structural model:
Unit cell a=9.5697 b=9.5697 c=9.5697 alpha=99.93 beta=99.93 gamma=130.93
Atoms (fractional coordinates):
Ca 0.3750 0.6250 0.7500
Ca 0.6250 0.3750 0.2500
Mg 0.0000 0.0000 0.0000
Mg 0.0000 0.0000 0.5000
Mg 0.0000 0.5000 0.0000
Mg 0.1250 0.8750 0.2500
Mg 0.1340 0.5562 0.3322
Mg 0.1340 0.8018 0.5778
Mg 0.1982 0.2760 0.3322
Mg 0.1982 0.8660 0.9222
Mg 0.2760 0.1982 0.8322
Mg 0.2760 0.4438 0.0778
Mg 0.4438 0.2760 0.5778
Mg 0.4438 0.8660 0.1678
Mg 0.5000 0.0000 0.5000
Mg 0.5562 0.1340 0.8322
Mg 0.5562 0.7240 0.4222
Mg 0.7240 0.5562 0.9222
Mg 0.7240 0.8018 0.1678
Mg 0.8018 0.1340 0.0778
Mg 0.8018 0.7240 0.6678
Mg 0.8660 0.1982 0.4222
Mg 0.8660 0.4438 0.6678
Mg 0.8750 0.1250 0.7500

Largest 10 diffraction maxima, low angle first, 5 to 70 degrees two-theta:
- 2θ = 28.45°, intensity 36.9
- 2θ = 32.19°, intensity 100.0
- 2θ = 32.52°, intensity 74.1
- 2θ = 34.63°, intensity 34.3
- 2θ = 36.94°, intensity 18.0
- 2θ = 37.68°, intensity 22.5
- 2θ = 38.27°, intensity 73.6
- 2θ = 39.83°, intensity 37.9
- 2θ = 57.82°, intensity 30.9
- 2θ = 68.12°, intensity 16.6

---

This entry pairs a crystal structure of CaMg with its calculated PXRD pattern. Radiation: CuKα. Structure: the PBE geometry in Alexandria.
No peak broadening, texture or thermal motion is included.

Structural model:
Unit cell a=3.6910 b=3.6910 c=16.7507 alpha=90.00 beta=90.00 gamma=120.00
Atoms (fractional coordinates):
Ca 0.0000 0.0000 0.0000
Ca 0.0000 0.0000 0.3340
Ca 0.6667 0.3333 0.8042
Mg 0.0000 0.0000 0.6406
Mg 0.6667 0.3333 0.1667
Mg 0.6667 0.3333 0.4980

Largest 10 diffraction maxima, low angle first, 5 to 70 degrees two-theta:
- 2θ = 27.91°, intensity 26.8
- 2θ = 29.92°, intensity 4.6
- 2θ = 32.06°, intensity 18.6
- 2θ = 32.27°, intensity 100.0
- 2θ = 43.02°, intensity 12.9
- 2θ = 49.38°, intensity 19.6
- 2θ = 52.22°, intensity 4.8
- 2θ = 57.28°, intensity 10.3
- 2θ = 60.10°, intensity 16.1
- 2θ = 60.23°, intensity 14.6